Structure and calculated XRD peak list of CuAg8 (the PBE geometry in OQMD; Cu Kα, 1.54184 Å).
Neutral-atom scattering factors, no anomalous dispersion.

Top 9 peaks for 5 to 70 degrees two-theta, low angle first:
Position (°2θ), I (rel.)
6.75, 1
32.47, 1
37.98, 100
39.24, 1
44.03, 32
44.38, 16
64.02, 10
64.30, 19
69.88, 1

a = 2.9093 Å, b = 4.0823 Å, c = 26.1723 Å
α = 90.00°, β = 90.00°, γ = 90.00°
Space group Immm (No. 71)
Inequivalent atoms, fractional coordinates:
Cu: 0.0000 0.0000 0.0000 (multiplicity 2)
Ag: 0.0000 0.0000 0.1075 (multiplicity 4)
Ag: 0.0000 0.0000 0.2216 (multiplicity 4)
Ag: 0.0000 0.0000 0.3351 (multiplicity 4)
Ag: 0.0000 0.0000 0.4477 (multiplicity 4)